The following is a simulated XRD peak list of DyHo4Se5. It was derived from a structure optimized by DFT (PBE), using CuKα.
Kinematic intensities with the Lorentz-polarization factor, no thermal factor.

Structural model:
```
DyHo4Se5
1.0
-2.0219 2.0219 14.3555
2.0219 -2.0219 14.3555
2.0219 2.0219 -14.3555
Dy Ho Se
1 4 5
direct
0.0000 0.0000 0.0000
0.2031 0.2031 0.0000
0.4020 0.4020 0.0000
0.5980 0.5980 0.0000
0.7969 0.7969 0.0000
0.1015 0.1015 0.0000
0.3021 0.3021 0.0000
0.5000 0.5000 0.0000
0.6979 0.6979 0.0000
0.8985 0.8985 0.0000
```

Principal peaks in the range 5° ≤ 2θ ≤ 70°, by angle:
d 3.306, 2θ = 26.97°, I = 299
d 2.871, 2θ = 31.15°, I = 451
d 2.859, 2θ = 31.28°, I = 908
d 2.505, 2θ = 35.85°, I = 8
d 2.193, 2θ = 41.16°, I = 9
d 2.025, 2θ = 44.76°, I = 1000
d 1.730, 2θ = 52.92°, I = 47
d 1.725, 2θ = 53.09°, I = 98
d 1.653, 2θ = 55.59°, I = 349
d 1.436, 2θ = 64.96°, I = 52
d 1.430, 2θ = 65.26°, I = 109
d 1.416, 2θ = 66.00°, I = 6

---

The following is a simulated XRD peak list of DyHoSi2Sn2. It was derived from a structure optimized by DFT (PBE), using CuKα.
Kinematic intensities with the Lorentz-polarization factor, no thermal factor.

Structural model:
```
DyHoSi2Sn2
1.0
3.9480 0.0000 0.0000
0.0000 4.2697 0.0000
0.0000 0.0000 16.3693
Dy Ho Si Sn
2 2 4 4
direct
0.0000 0.0000 0.0000
0.0000 0.5000 0.5000
0.5000 0.0000 0.1869
0.5000 0.5000 0.6869
0.0000 0.0000 0.6403
0.0000 0.5000 0.1403
0.5000 0.0000 0.5481
0.5000 0.5000 0.0481
0.0000 0.0000 0.3514
0.0000 0.5000 0.8514
0.5000 0.0000 0.8347
0.5000 0.5000 0.3347
```

Principal peaks in the range 5° ≤ 2θ ≤ 70°, by angle:
d 4.131, 2θ = 21.51°, I = 185
d 3.556, 2θ = 25.04°, I = 277
d 2.728, 2θ = 32.83°, I = 241
d 2.598, 2θ = 34.52°, I = 215
d 2.560, 2θ = 35.05°, I = 1000
d 2.135, 2θ = 42.34°, I = 160
d 1.974, 2θ = 45.98°, I = 126
d 1.817, 2θ = 50.22°, I = 108
d 1.681, 2θ = 54.58°, I = 116
d 1.599, 2θ = 57.64°, I = 98
d 1.541, 2θ = 60.05°, I = 127
d 1.449, 2θ = 64.27°, I = 94

---

The following is a simulated XRD peak list of DyHoTa2Si2. It was derived from a structure optimized by DFT (PBE), using CuKα.
Kinematic intensities with the Lorentz-polarization factor, no thermal factor.

Structural model:
```
DyHoTa2Si2
1.0
3.9977 0.0000 0.0000
0.0000 3.9977 0.0000
0.0000 0.0000 7.7413
Dy Ho Ta Si
1 1 2 2
direct
0.0000 0.0000 0.0000
0.5000 0.5000 0.2945
0.0000 0.5000 0.6464
0.5000 0.0000 0.6464
0.0000 0.0000 0.4064
0.5000 0.5000 0.8864
```

Principal peaks in the range 5° ≤ 2θ ≤ 70°, by angle:
d 7.741, 2θ = 11.43°, I = 290
d 3.552, 2θ = 25.07°, I = 281
d 2.781, 2θ = 32.19°, I = 382
d 2.655, 2θ = 33.76°, I = 1000
d 2.580, 2θ = 34.77°, I = 323
d 2.283, 2θ = 39.47°, I = 551
d 1.999, 2θ = 45.37°, I = 399
d 1.742, 2θ = 52.53°, I = 112
d 1.623, 2θ = 56.72°, I = 153
d 1.597, 2θ = 57.73°, I = 242
d 1.580, 2θ = 58.40°, I = 295
d 1.413, 2θ = 66.11°, I = 131

---

The following is a simulated XRD peak list of DyHoSn4. It was derived from a structure optimized by DFT (PBE), using CuKα.
Kinematic intensities with the Lorentz-polarization factor, no thermal factor.

Structural model:
```
DyHoSn4
1.0
4.3423 0.0000 0.0000
0.0000 4.4237 0.0000
0.0000 0.0000 16.3261
Dy Ho Sn
2 2 8
direct
0.0000 0.0000 0.0000
0.0000 0.5000 0.5000
0.5000 0.0000 0.8030
0.5000 0.5000 0.3030
0.0000 0.0000 0.3374
0.0000 0.0000 0.6499
0.0000 0.5000 0.1499
0.0000 0.5000 0.8374
0.5000 0.0000 0.1536
0.5000 0.0000 0.4653
0.5000 0.5000 0.6536
0.5000 0.5000 0.9653
```

Principal peaks in the range 5° ≤ 2θ ≤ 70°, by angle:
d 3.433, 2θ = 25.96°, I = 45
d 2.721, 2θ = 32.92°, I = 204
d 2.693, 2θ = 33.27°, I = 1000
d 2.306, 2θ = 39.07°, I = 55
d 2.212, 2θ = 40.80°, I = 155
d 2.171, 2θ = 41.60°, I = 147
d 1.716, 2θ = 53.38°, I = 106
d 1.697, 2θ = 54.03°, I = 102
d 1.566, 2θ = 59.00°, I = 104
d 1.549, 2θ = 59.68°, I = 104
d 1.352, 2θ = 69.50°, I = 124
d 1.346, 2θ = 69.86°, I = 97

---

The following is a simulated XRD peak list of DyHoZn2Sn2. It was derived from a structure optimized by DFT (PBE), using CuKα.
Kinematic intensities with the Lorentz-polarization factor, no thermal factor.

Structural model:
```
DyHoZn2Sn2
1.0
4.3028 0.0000 0.0000
0.0000 4.3028 0.0000
0.0000 0.0000 15.0119
Dy Ho Zn Sn
2 2 4 4
direct
0.0000 0.0000 0.0000
0.5000 0.5000 0.5000
0.0000 0.0000 0.6846
0.5000 0.5000 0.1846
0.0000 0.5000 0.3420
0.0000 0.5000 0.8420
0.5000 0.0000 0.3420
0.5000 0.0000 0.8420
0.0000 0.0000 0.2080
0.0000 0.0000 0.4764
0.5000 0.5000 0.7080
0.5000 0.5000 0.9764
```

Principal peaks in the range 5° ≤ 2θ ≤ 70°, by angle:
d 3.753, 2θ = 23.71°, I = 228
d 3.263, 2θ = 27.34°, I = 95
d 3.043, 2θ = 29.36°, I = 491
d 2.820, 2θ = 31.73°, I = 409
d 2.502, 2θ = 35.89°, I = 229
d 2.462, 2θ = 36.49°, I = 116
d 2.363, 2θ = 38.07°, I = 1000
d 2.151, 2θ = 42.00°, I = 532
d 1.866, 2θ = 48.79°, I = 139
d 1.631, 2θ = 56.41°, I = 248
d 1.521, 2θ = 60.90°, I = 177
d 1.346, 2θ = 69.87°, I = 146

---

The following is a simulated XRD peak list of TbDy3Ho2. It was derived from a structure optimized by DFT (PBE), using CuKα.
Kinematic intensities with the Lorentz-polarization factor, no thermal factor.

Structural model:
```
TbDy3Ho2
1.0
8.7614 -3.5580 0.0000
8.7614 3.5580 0.0000
-1.4436 0.0000 5.9913
Tb Dy Ho
2 6 4
direct
0.1249 0.8751 0.7500
0.8751 0.1249 0.2500
0.2080 0.4576 0.4717
0.3748 0.6252 0.2500
0.4576 0.2080 0.9717
0.5424 0.7920 0.0283
0.6252 0.3748 0.7500
0.7920 0.5424 0.5283
0.0420 0.2921 0.0280
0.2921 0.0420 0.5280
0.7079 0.9580 0.4720
0.9580 0.7079 0.9720
```

Principal peaks in the range 5° ≤ 2θ ≤ 70°, by angle:
d 3.059, 2θ = 29.19°, I = 368
d 2.995, 2θ = 29.83°, I = 156
d 2.839, 2θ = 31.51°, I = 503
d 2.775, 2θ = 32.25°, I = 1000
d 2.639, 2θ = 33.97°, I = 888
d 2.218, 2θ = 40.68°, I = 143
d 1.779, 2θ = 51.36°, I = 386
d 1.657, 2θ = 55.45°, I = 213
d 1.570, 2θ = 58.80°, I = 188
d 1.508, 2θ = 61.51°, I = 449
d 1.498, 2θ = 61.96°, I = 155
d 1.475, 2θ = 63.02°, I = 150

---

The following is a simulated XRD peak list of Dy2Ho5Tm. It was derived from a structure optimized by DFT (PBE), using CuKα.
Kinematic intensities with the Lorentz-polarization factor, no thermal factor.

Structural model:
```
Dy2Ho5Tm
1.0
5.5891 0.0000 0.0000
0.0000 7.1645 0.0000
0.0000 0.0000 12.4094
Dy Ho Tm
4 10 2
direct
0.0000 0.0000 0.0000
0.0000 0.5000 0.5000
0.5000 0.0000 0.3334
0.5000 0.5000 0.8334
0.0000 0.0000 0.5004
0.0000 0.2494 0.7498
0.0000 0.2506 0.2498
0.0000 0.5000 0.0004
0.0000 0.7494 0.2498
0.0000 0.7506 0.7498
0.5000 0.2494 0.5835
0.5000 0.2506 0.0835
0.5000 0.7494 0.0835
0.5000 0.7506 0.5835
0.5000 0.0000 0.8330
0.5000 0.5000 0.3330
```

Principal peaks in the range 5° ≤ 2θ ≤ 70°, by angle:
d 3.102, 2θ = 28.78°, I = 238
d 2.795, 2θ = 32.03°, I = 241
d 2.712, 2θ = 33.02°, I = 1000
d 2.076, 2θ = 43.59°, I = 156
d 1.791, 2θ = 50.99°, I = 198
d 1.597, 2θ = 57.72°, I = 205
d 1.551, 2θ = 59.60°, I = 31
d 1.508, 2θ = 61.49°, I = 225
d 1.495, 2θ = 62.10°, I = 164
d 1.397, 2θ = 66.97°, I = 29
d 1.356, 2θ = 69.28°, I = 39

---

The following is a simulated XRD peak list of Dy2YHo. It was derived from a structure optimized by DFT (PBE), using CuKα.
Kinematic intensities with the Lorentz-polarization factor, no thermal factor.

Structural model:
```
Dy2YHo
1.0
5.6156 0.0000 0.0000
0.0000 12.5565 0.0000
0.0000 0.0000 7.2517
Dy Y Ho
8 4 4
direct
0.2500 0.0834 0.0000
0.2500 0.3330 0.2511
0.2500 0.5834 0.5000
0.2500 0.8330 0.7511
0.7500 0.1670 0.7511
0.7500 0.4166 0.5000
0.7500 0.6670 0.2511
0.7500 0.9166 0.0000
0.2500 0.0844 0.4997
0.2500 0.5844 0.9997
0.7500 0.4156 0.9997
0.7500 0.9156 0.4997
0.2500 0.3329 0.7486
0.2500 0.8329 0.2486
0.7500 0.1671 0.2486
0.7500 0.6671 0.7486
```

Principal peaks in the range 5° ≤ 2θ ≤ 70°, by angle:
d 6.279, 2θ = 14.10°, I = 42
d 3.140, 2θ = 28.43°, I = 240
d 2.808, 2θ = 31.87°, I = 237
d 2.740, 2θ = 32.68°, I = 1000
d 2.093, 2θ = 43.23°, I = 156
d 1.813, 2θ = 50.34°, I = 204
d 1.608, 2θ = 57.30°, I = 201
d 1.570, 2θ = 58.83°, I = 31
d 1.523, 2θ = 60.83°, I = 224
d 1.512, 2θ = 61.32°, I = 164
d 1.404, 2θ = 66.61°, I = 28
d 1.370, 2θ = 68.48°, I = 42